Theoretical powder XRD pattern
Compound: Cs2Te13
Radiation: copper Kα
Structure: a structure optimized by DFT (PBE)
Kinematic intensities with the Lorentz-polarization factor, no thermal factor.

Peak list (8 most intense, 10 to 90 degrees two-theta, most intense first)
- hkl 0 2 6, 2θ = 25.88°, rel. 100
- hkl 1 2 4, 2θ = 23.04°, rel. 50
- hkl 0 2 7, 2θ = 29.29°, rel. 49
- hkl 1 3 4, 2θ = 27.06°, rel. 41
- hkl 2 2 1, 2θ = 27.59°, rel. 40
- hkl 1 3 3, 2θ = 25.14°, rel. 35
- hkl 3 2 0, 2θ = 38.85°, rel. 34
- hkl 2 1 3, 2θ = 27.48°, rel. 28

Structural model:
abc: 7.3618 14.1320 23.6505
angles: 90.00 90.00 90.00
Space group Pbcm (No. 57)
Symmetry-distinct sites (fractional):
Cs (0.1222, 0.2500, 0.0000) (multiplicity 4)
Cs (0.3619, 0.5154, 0.2500) (multiplicity 4)
Te (0.0646, 0.0408, 0.6025) (multiplicity 8)
Te (0.1046, 0.6323, 0.7500) (multiplicity 4)
Te (0.1833, 0.7475, 0.6549) (multiplicity 8)
Te (0.2600, 0.1598, 0.1647) (multiplicity 8)
Te (0.2918, 0.5925, 0.0499) (multiplicity 8)
Te (0.3051, 0.0227, 0.0709) (multiplicity 8)
Te (0.4588, 0.1831, 0.6280) (multiplicity 8)